# NaCa3Ir
Computed powder XRD pattern, Cu Kα X-rays. Input: a DFT-relaxed cell (PBE, Alexandria).
Kinematic intensities with the Lorentz-polarization factor, no thermal factor.

Top 12 peaks for 15 to 90 degrees two-theta, most intense first:
| Position (°2θ) | I (rel.) | (hkl) |
| --- | --- | --- |
| 33.63 | 100 | 2 2 2 |
| 19.95 | 94 | 0 2 2 |
| 37.78 | 75 | 2 2 4 |
| 17.44 | 69 | 0 2 0 |
| 33.24 | 64 | 2 0 4 |
| 43.95 | 38 | 2 2 6 |
| 19.33 | 35 | 0 0 4 |
| 34.18 | 33 | 0 2 6 |
| 36.67 | 26 | 0 4 2 |
| 40.55 | 26 | 0 4 4 |
| 29.15 | 25 | 0 0 6 |
| 35.29 | 25 | 0 4 0 |

Structural model:
Cell: 6.657 10.173 18.371 Å, 90.00 90.00 90.00°
Space group Fmmm (No. 69)
One atom of each set of equivalent atoms:
Na1 0.219 0.000 0.000 [8 per cell]
Ca1 0.000 0.000 0.209 [8 per cell]
Ca2 0.000 0.190 0.372 [16 per cell]
Ir1 0.250 0.250 0.250 [8 per cell]